No. 1
Computed X-ray powder pattern of YTm4Rh2 for Cu Kα X-rays, from a crystal structure in Alexandria, relaxed with PBE.
Lines closer than 0.1° are merged.

Atomic structure:
abc: 7.7179 6.2787 7.8409
angles: 90.00 112.43 90.00
Sites, in units of the cell vectors:
Y: 0.0225 0.2500 0.1601
Y: 0.9775 0.7500 0.8399
Tm: 0.2390 0.5017 0.5876
Tm: 0.2390 0.9983 0.5876
Tm: 0.3352 0.7500 0.2506
Tm: 0.3840 0.2500 0.0172
Tm: 0.6160 0.7500 0.9828
Tm: 0.6648 0.2500 0.7494
Tm: 0.7610 0.0017 0.4124
Tm: 0.7610 0.4983 0.4124
Rh: 0.0118 0.2500 0.7375
Rh: 0.4147 0.2500 0.3749
Rh: 0.5853 0.7500 0.6251
Rh: 0.9882 0.7500 0.2625

Largest 12 diffraction maxima, by angle, 2θ from 10° to 90°:
2θ = 12.21°, rel. 31.4; 2θ = 31.08°, rel. 100.0; 2θ = 31.68°, rel. 66.9; 2θ = 31.91°, rel. 42.1; 2θ = 34.35°, rel. 46.4; 2θ = 34.82°, rel. 34.6; 2θ = 36.43°, rel. 31.6; 2θ = 36.81°, rel. 47.8; 2θ = 37.02°, rel. 39.3; 2θ = 37.87°, rel. 40.3; 2θ = 38.19°, rel. 44.3; 2θ = 58.83°, rel. 50.9

---

No. 2
Computed X-ray powder pattern of Pa3Ge4Rh4 for Cu Kα X-rays, from a crystal structure in Alexandria, relaxed with PBE.
Lines closer than 0.1° are merged.

Atomic structure:
abc: 8.1322 8.1322 8.1322
angles: 150.43 129.62 59.50
Sites, in units of the cell vectors:
Pa: 0.0000 0.0000 0.0000
Pa: 0.3696 0.8696 0.5000
Pa: 0.6304 0.1304 0.5000
Ge: 0.2094 0.2094 0.0000
Ge: 0.3024 0.5000 0.8024
Ge: 0.6976 0.5000 0.1976
Ge: 0.7906 0.7906 0.0000
Rh: 0.0338 0.3239 0.7099
Rh: 0.3859 0.6761 0.7099
Rh: 0.6141 0.3239 0.2901
Rh: 0.9662 0.6761 0.2901

Largest 12 diffraction maxima, by angle, 2θ from 10° to 90°:
2θ = 22.85°, rel. 14.2; 2θ = 34.32°, rel. 100.0; 2θ = 35.82°, rel. 64.6; 2θ = 38.24°, rel. 14.4; 2θ = 38.91°, rel. 16.7; 2θ = 43.65°, rel. 47.7; 2θ = 46.93°, rel. 14.6; 2θ = 52.24°, rel. 9.8; 2θ = 56.62°, rel. 11.1; 2θ = 63.43°, rel. 19.3; 2θ = 70.93°, rel. 13.0; 2θ = 77.56°, rel. 10.5

---

No. 3
Computed X-ray powder pattern of Tm6InFe2 for Cu Kα X-rays, from a crystal structure in Alexandria, relaxed with PBE.
Lines closer than 0.1° are merged.

Atomic structure:
abc: 8.2924 8.2924 8.2924
angles: 111.41 110.22 106.82
Sites, in units of the cell vectors:
Tm: 0.0151 0.2309 0.7843
Tm: 0.1891 0.2900 0.4791
Tm: 0.1891 0.7100 0.8991
Tm: 0.3123 0.0151 0.7028
Tm: 0.3123 0.6095 0.2972
Tm: 0.4466 0.2309 0.2157
Tm: 0.5534 0.7691 0.7843
Tm: 0.6877 0.3905 0.7028
Tm: 0.6877 0.9849 0.2972
Tm: 0.8109 0.2900 0.1009
Tm: 0.8109 0.7100 0.5209
Tm: 0.9849 0.7691 0.2157
In: 0.0000 0.0000 0.0000
In: 0.5000 0.5000 0.0000
Fe: 0.1099 0.6099 0.5000
Fe: 0.3844 0.0000 0.3844
Fe: 0.6156 0.0000 0.6156
Fe: 0.8901 0.3901 0.5000

Largest 12 diffraction maxima, by angle, 2θ from 10° to 90°:
2θ = 28.69°, rel. 15.0; 2θ = 29.66°, rel. 12.7; 2θ = 30.20°, rel. 15.8; 2θ = 32.43°, rel. 100.0; 2θ = 34.62°, rel. 25.6; 2θ = 35.03°, rel. 26.7; 2θ = 35.46°, rel. 20.6; 2θ = 35.66°, rel. 12.7; 2θ = 36.35°, rel. 14.9; 2θ = 38.53°, rel. 17.0; 2θ = 56.82°, rel. 11.2; 2θ = 60.51°, rel. 17.7